No. 1
The following is a theoretical PXRD pattern of Ac5SbS4. It was derived from a crystal structure in Alexandria, relaxed with PBE, using Cu Kα (weighted mean of Kα1 and Kα2).

Structural model:
Cell lengths 11.6533, 11.6533, 11.6533 Å; angles 158.18, 148.75, 38.44 degrees
Element x y z (fractional)
1 Ac 0.0000 0.0000 0.0000
2 Ac 0.1993 0.1993 0.0000
3 Ac 0.3908 0.3908 0.0000
4 Ac 0.6092 0.6092 0.0000
5 Ac 0.8007 0.8007 0.0000
6 Sb 0.5000 0.0000 0.5000
7 S 0.1014 0.6014 0.5000
8 S 0.2951 0.7951 0.5000
9 S 0.7049 0.2049 0.5000
10 S 0.8986 0.3986 0.5000

The 6 most intense peaks (2θ = 15–90°), low angle first:
| Position (°2θ) | d [Å] | I_rel |
| --- | --- | --- |
| 24.69 | 3.606 | 100 |
| 28.44 | 3.139 | 48 |
| 28.65 | 3.116 | 91 |
| 40.81 | 2.211 | 70 |
| 40.96 | 2.203 | 34 |
| 50.62 | 1.803 | 37 |

No. 2
The following is a theoretical PXRD pattern of Ac4Sb3S. It was derived from a crystal structure in Alexandria, relaxed with PBE, using Cu Kα (weighted mean of Kα1 and Kα2).

Structural model:
Cell lengths 8.1094, 9.3956, 8.1284 Å; angles 90.00, 109.52, 90.00 degrees
Element x y z (fractional)
1 Ac 0.2405 0.1197 0.0014
2 Ac 0.2405 0.8803 0.5014
3 Ac 0.2467 0.3701 0.4945
4 Ac 0.2467 0.6299 0.9945
5 Ac 0.7533 0.3701 0.0055
6 Ac 0.7533 0.6299 0.5055
7 Ac 0.7595 0.1197 0.4986
8 Ac 0.7595 0.8803 0.9986
9 Sb 0.0000 0.3728 0.7500
10 Sb 0.0000 0.6272 0.2500
11 Sb 0.5000 0.1237 0.7500
12 Sb 0.5000 0.3730 0.2500
13 Sb 0.5000 0.6270 0.7500
14 Sb 0.5000 0.8763 0.2500
15 S 0.0000 0.1212 0.2500
16 S 0.0000 0.8788 0.7500

The 6 most intense peaks (2θ = 15–90°), low angle first:
| Position (°2θ) | d [Å] | I_rel |
| --- | --- | --- |
| 23.23 | 3.830 | 26 |
| 26.88 | 3.317 | 100 |
| 38.34 | 2.348 | 39 |
| 38.42 | 2.343 | 39 |
| 47.45 | 1.916 | 21 |
| 62.57 | 1.484 | 19 |

No. 3
The following is a theoretical PXRD pattern of Ac4Sb2S. It was derived from a crystal structure in Alexandria, relaxed with PBE, using Cu Kα (weighted mean of Kα1 and Kα2).

Structural model:
Cell lengths 5.5631, 5.5631, 17.2669 Å; angles 90.00, 90.00, 90.00 degrees
Element x y z (fractional)
1 Ac 0.0000 0.0000 0.1733
2 Ac 0.0000 0.0000 0.8267
3 Ac 0.0000 0.5000 0.0000
4 Ac 0.0000 0.5000 0.5000
5 Ac 0.5000 0.0000 0.0000
6 Ac 0.5000 0.0000 0.5000
7 Ac 0.5000 0.5000 0.3267
8 Ac 0.5000 0.5000 0.6733
9 Sb 0.0000 0.0000 0.3677
10 Sb 0.0000 0.0000 0.6323
11 Sb 0.5000 0.5000 0.1323
12 Sb 0.5000 0.5000 0.8677
13 S 0.0000 0.0000 0.0000
14 S 0.5000 0.5000 0.5000

The 6 most intense peaks (2θ = 15–90°), low angle first:
| Position (°2θ) | d [Å] | I_rel |
| --- | --- | --- |
| 24.87 | 3.580 | 100 |
| 30.75 | 2.908 | 82 |
| 31.08 | 2.878 | 29 |
| 32.18 | 2.782 | 76 |
| 45.34 | 2.000 | 42 |
| 56.49 | 1.629 | 30 |

No. 4
The following is a theoretical PXRD pattern of AcSeS3. It was derived from a crystal structure in Alexandria, relaxed with PBE, using Cu Kα (weighted mean of Kα1 and Kα2).

Structural model:
Cell lengths 8.3228, 6.5382, 9.2238 Å; angles 90.00, 90.00, 90.00 degrees
Element x y z (fractional)
1 Ac 0.1129 0.0594 0.0000
2 Ac 0.3871 0.5594 0.5000
3 Ac 0.6129 0.4406 0.0000
4 Ac 0.8871 0.9406 0.5000
5 Se 0.0011 0.4757 0.7272
6 Se 0.4989 0.9757 0.2272
7 Se 0.5011 0.0243 0.7272
8 Se 0.9989 0.5243 0.2272
9 S 0.0583 0.3575 0.5025
10 S 0.1599 0.8172 0.2939
11 S 0.1659 0.8108 0.6995
12 S 0.3341 0.3108 0.1995
13 S 0.3401 0.3172 0.7939
14 S 0.4417 0.8575 0.0025
15 S 0.5583 0.1425 0.5025
16 S 0.6599 0.6828 0.2939
17 S 0.6659 0.6892 0.6995
18 S 0.8341 0.1892 0.1995
19 S 0.8401 0.1828 0.7939
20 S 0.9417 0.6425 0.0025

The 6 most intense peaks (2θ = 15–90°), low angle first:
| Position (°2θ) | d [Å] | I_rel |
| --- | --- | --- |
| 19.77 | 4.491 | 85 |
| 23.45 | 3.793 | 48 |
| 25.95 | 3.433 | 100 |
| 30.95 | 2.890 | 39 |
| 36.30 | 2.475 | 63 |
| 36.51 | 2.461 | 38 |

No. 5
The following is a theoretical PXRD pattern of Ac3Se2S2. It was derived from a crystal structure in Alexandria, relaxed with PBE, using Cu Kα (weighted mean of Kα1 and Kα2).

Structural model:
Cell lengths 14.3412, 4.3777, 7.9138 Å; angles 90.00, 101.86, 90.00 degrees
Element x y z (fractional)
1 Ac 0.0000 0.0000 0.0000
2 Ac 0.2307 0.0000 0.7448
3 Ac 0.2693 0.5000 0.2552
4 Ac 0.5000 0.5000 0.0000
5 Ac 0.7307 0.5000 0.7448
6 Ac 0.7693 0.0000 0.2552
7 Se 0.1365 0.0000 0.3570
8 Se 0.3635 0.5000 0.6430
9 Se 0.6365 0.5000 0.3570
10 Se 0.8635 0.0000 0.6430
11 S 0.1287 0.5000 0.9055
12 S 0.3713 0.0000 0.0945
13 S 0.6287 0.0000 0.9055
14 S 0.8713 0.5000 0.0945

The 6 most intense peaks (2θ = 15–90°), low angle first:
| Position (°2θ) | d [Å] | I_rel |
| --- | --- | --- |
| 21.26 | 4.179 | 31 |
| 24.82 | 3.587 | 35 |
| 28.52 | 3.129 | 51 |
| 28.68 | 3.113 | 100 |
| 39.91 | 2.259 | 42 |
| 41.85 | 2.159 | 34 |

No. 6
The following is a theoretical PXRD pattern of Ac5Se4S. It was derived from a crystal structure in Alexandria, relaxed with PBE, using Cu Kα (weighted mean of Kα1 and Kα2).

Structural model:
Cell lengths 18.2845, 18.2845, 18.2845 Å; angles 13.93, 13.93, 13.93 degrees
Element x y z (fractional)
1 Ac 0.0000 0.0000 0.0000
2 Ac 0.1975 0.1975 0.1975
3 Ac 0.4010 0.4010 0.4010
4 Ac 0.5990 0.5990 0.5990
5 Ac 0.8025 0.8025 0.8025
6 Se 0.1016 0.1016 0.1016
7 Se 0.2995 0.2995 0.2995
8 Se 0.7005 0.7005 0.7005
9 Se 0.8984 0.8984 0.8984
10 S 0.5000 0.5000 0.5000

The 6 most intense peaks (2θ = 15–90°), low angle first:
| Position (°2θ) | d [Å] | I_rel |
| --- | --- | --- |
| 24.59 | 3.621 | 49 |
| 28.47 | 3.136 | 100 |
| 40.69 | 2.217 | 77 |
| 50.41 | 1.810 | 27 |
| 66.70 | 1.402 | 35 |
| 74.06 | 1.280 | 26 |

No. 7
The following is a theoretical PXRD pattern of AcSe2S6. It was derived from a crystal structure in Alexandria, relaxed with PBE, using Cu Kα (weighted mean of Kα1 and Kα2).

Structural model:
Cell lengths 7.9501, 7.9501, 4.3270 Å; angles 90.00, 90.00, 122.43 degrees
Element x y z (fractional)
1 Ac 0.0000 0.0000 0.0000
2 Se 0.0000 0.5000 0.6719
3 Se 0.5000 0.0000 0.3281
4 S 0.1856 0.3357 0.4577
5 S 0.2299 0.7701 0.0000
6 S 0.3357 0.1856 0.5423
7 S 0.6643 0.8144 0.5423
8 S 0.7701 0.2299 0.0000
9 S 0.8144 0.6643 0.4577

The 6 most intense peaks (2θ = 15–90°), low angle first:
| Position (°2θ) | d [Å] | I_rel |
| --- | --- | --- |
| 24.48 | 3.637 | 100 |
| 25.57 | 3.484 | 50 |
| 30.55 | 2.926 | 56 |
| 31.20 | 2.867 | 92 |
| 40.27 | 2.240 | 37 |
| 45.68 | 1.986 | 45 |

No. 8
The following is a theoretical PXRD pattern of AcSmSeS. It was derived from a crystal structure in Alexandria, relaxed with PBE, using Cu Kα (weighted mean of Kα1 and Kα2).

Structural model:
Cell lengths 4.2131, 4.2131, 21.0321 Å; angles 90.00, 90.00, 120.00 degrees
Element x y z (fractional)
1 Ac 0.0000 0.0000 0.0000
2 Ac 0.3333 0.6667 0.6667
3 Ac 0.6667 0.3333 0.3333
4 Sm 0.0000 0.0000 0.4869
5 Sm 0.3333 0.6667 0.1536
6 Sm 0.6667 0.3333 0.8202
7 Se 0.0000 0.0000 0.2372
8 Se 0.3333 0.6667 0.9039
9 Se 0.6667 0.3333 0.5706
10 S 0.0000 0.0000 0.7509
11 S 0.3333 0.6667 0.4176
12 S 0.6667 0.3333 0.0842

The 6 most intense peaks (2θ = 15–90°), low angle first:
| Position (°2θ) | d [Å] | I_rel |
| --- | --- | --- |
| 25.85 | 3.447 | 40 |
| 29.80 | 2.998 | 100 |
| 42.38 | 2.133 | 35 |
| 42.93 | 2.107 | 38 |
| 53.14 | 1.724 | 20 |
| 70.61 | 1.334 | 17 |

No. 9
The following is a theoretical PXRD pattern of Ac2TeSeS. It was derived from a crystal structure in Alexandria, relaxed with PBE, using Cu Kα (weighted mean of Kα1 and Kα2).

Structural model:
Cell lengths 8.9837, 8.9837, 11.9544 Å; angles 130.63, 130.63, 31.55 degrees
Element x y z (fractional)
1 Ac 0.0958 0.0958 0.3646
2 Ac 0.3228 0.3228 0.9270
3 Ac 0.6772 0.6772 0.0730
4 Ac 0.9042 0.9042 0.6354
5 Te 0.3038 0.3038 0.3664
6 Te 0.6962 0.6962 0.6336
7 Se 0.4351 0.4351 0.8057
8 Se 0.5649 0.5649 0.1943
9 S 0.1340 0.1340 0.8906
10 S 0.8660 0.8660 0.1094

The 6 most intense peaks (2θ = 15–90°), low angle first:
| Position (°2θ) | d [Å] | I_rel |
| --- | --- | --- |
| 20.59 | 4.314 | 56 |
| 24.47 | 3.638 | 100 |
| 31.49 | 2.841 | 48 |
| 32.13 | 2.786 | 34 |
| 36.05 | 2.491 | 67 |
| 36.80 | 2.442 | 38 |

No. 10
The following is a theoretical PXRD pattern of AcYSeS2. It was derived from a crystal structure in Alexandria, relaxed with PBE, using Cu Kα (weighted mean of Kα1 and Kα2).

Structural model:
Cell lengths 4.8688, 4.8688, 6.6953 Å; angles 90.00, 90.00, 90.00 degrees
Element x y z (fractional)
1 Ac 0.0000 0.0000 0.0000
2 Y 0.5000 0.5000 0.4060
3 Se 0.5000 0.5000 0.8161
4 S 0.0000 0.5000 0.2518
5 S 0.5000 0.0000 0.2518

The 6 most intense peaks (2θ = 15–90°), low angle first:
| Position (°2θ) | d [Å] | I_rel |
| --- | --- | --- |
| 22.58 | 3.938 | 100 |
| 25.88 | 3.443 | 53 |
| 32.46 | 2.759 | 45 |
| 36.92 | 2.434 | 42 |
| 37.47 | 2.400 | 36 |
| 43.72 | 2.071 | 36 |

No. 11
The following is a theoretical PXRD pattern of Ac7SiS5. It was derived from a crystal structure in Alexandria, relaxed with PBE, using Cu Kα (weighted mean of Kα1 and Kα2).

Structural model:
Cell lengths 7.3897, 7.3897, 25.7423 Å; angles 90.08, 90.08, 34.12 degrees
Element x y z (fractional)
1 Ac 0.0337 0.0337 0.2502
2 Ac 0.1371 0.1371 0.5360
3 Ac 0.1369 0.1369 0.9640
4 Ac 0.3093 0.3093 0.3210
5 Ac 0.3103 0.3103 0.1788
6 Ac 0.4069 0.4069 0.8891
7 Ac 0.4077 0.4077 0.6106
8 Ac 0.5923 0.5923 0.3894
9 Ac 0.5931 0.5931 0.1109
10 Ac 0.6897 0.6897 0.8212
11 Ac 0.6907 0.6907 0.6790
12 Ac 0.8631 0.8631 0.0360
13 Ac 0.8629 0.8629 0.4640
14 Ac 0.9663 0.9663 0.7498
15 Si 0.3035 0.3035 0.7507
16 Si 0.6965 0.6965 0.2493
17 S 0.0470 0.0470 0.8587
18 S 0.0480 0.0480 0.6413
19 S 0.2274 0.2274 0.4294
20 S 0.2278 0.2278 0.0706
21 S 0.5000 0.5000 0.0000
22 S 0.5000 0.5000 0.5000
23 S 0.7722 0.7722 0.9294
24 S 0.7726 0.7726 0.5706
25 S 0.9520 0.9520 0.3587
26 S 0.9530 0.9530 0.1413

The 6 most intense peaks (2θ = 15–90°), low angle first:
| Position (°2θ) | d [Å] | I_rel |
| --- | --- | --- |
| 23.84 | 3.733 | 40 |
| 25.56 | 3.485 | 67 |
| 27.34 | 3.262 | 100 |
| 28.83 | 3.096 | 81 |
| 29.88 | 2.990 | 53 |
| 50.55 | 1.806 | 38 |

No. 12
The following is a theoretical PXRD pattern of Ac8SiS6. It was derived from a crystal structure in Alexandria, relaxed with PBE, using Cu Kα (weighted mean of Kα1 and Kα2).

Structural model:
Cell lengths 11.0835, 11.0835, 4.3672 Å; angles 90.00, 90.00, 120.00 degrees
Element x y z (fractional)
1 Ac 0.0368 0.7123 0.2555
2 Ac 0.2877 0.3246 0.2555
3 Ac 0.3246 0.0368 0.7445
4 Ac 0.3333 0.6667 0.7504
5 Ac 0.6667 0.3333 0.2496
6 Ac 0.6754 0.9632 0.2555
7 Ac 0.7123 0.6754 0.7445
8 Ac 0.9632 0.2877 0.7445
9 Si 0.0000 0.0000 0.5000
10 S 0.1321 0.4872 0.2497
11 S 0.3551 0.8679 0.2497
12 S 0.4872 0.3551 0.7503
13 S 0.5128 0.6449 0.2497
14 S 0.6449 0.1321 0.7503
15 S 0.8679 0.5128 0.7503

The 6 most intense peaks (2θ = 15–90°), low angle first:
| Position (°2θ) | d [Å] | I_rel |
| --- | --- | --- |
| 25.98 | 3.430 | 100 |
| 27.62 | 3.230 | 49 |
| 27.88 | 3.200 | 94 |
| 32.07 | 2.791 | 42 |
| 38.48 | 2.340 | 39 |
| 46.17 | 1.966 | 39 |